1.
Starting from a DFT-relaxed cell (PBE, Alexandria), the powder diffractogram of AcY3Ho8 was simulated for Cu Kα X-rays.
No peak broadening, texture or thermal motion is included.

Principal peaks in the range 2θ = 10–90°, in order of rising 2θ:
| d (Å) | two_theta | I/Imax |
| --- | --- | --- |
| 3.158 | 28.26 | 24 |
| 2.844 | 31.46 | 24 |
| 2.761 | 32.43 | 100 |
| 1.823 | 50.03 | 20 |
| 1.625 | 56.63 | 21 |
| 1.535 | 60.30 | 22 |

Crystal structure
Cell: 8.5018 8.5018 8.5018 Å, 99.81 96.02 136.45°
Positions (direct):
Ac (0.0000, 0.0000, 0.0000)
Y (0.4050, 0.6573, 0.7477)
Y (0.4958, 0.9958, 0.5000)
Y (0.9097, 0.6573, 0.2523)
Ho (0.4171, 0.3317, 0.4230)
Ho (0.4171, 0.9942, 0.0854)
Ho (0.4920, 0.3207, 0.8287)
Ho (0.4920, 0.6632, 0.1713)
Ho (0.9087, 0.3317, 0.9146)
Ho (0.9087, 0.9942, 0.5770)
Ho (0.9937, 0.3289, 0.3352)
Ho (0.9937, 0.6585, 0.6648)



2.
Starting from a DFT-relaxed cell (PBE, Alexandria), the powder diffractogram of Ac5HoZn4 was simulated for Cu Kα X-rays.
No peak broadening, texture or thermal motion is included.

Principal peaks in the range 2θ = 10–90°, in order of rising 2θ:
| d (Å) | two_theta | I/Imax |
| --- | --- | --- |
| 3.908 | 22.76 | 24 |
| 2.844 | 31.46 | 100 |
| 2.763 | 32.40 | 58 |
| 1.954 | 46.48 | 22 |
| 1.658 | 55.43 | 13 |
| 1.610 | 57.21 | 37 |

Crystal structure
Cell: 3.9076 3.9076 20.7281 Å, 90.00 90.00 90.00°
Positions (direct):
Ac (0.0000, 0.0000, 0.0000)
Ac (0.0000, 0.0000, 0.1886)
Ac (0.0000, 0.0000, 0.3763)
Ac (0.0000, 0.0000, 0.6237)
Ac (0.0000, 0.0000, 0.8114)
Ho (0.5000, 0.5000, 0.5000)
Zn (0.5000, 0.5000, 0.0939)
Zn (0.5000, 0.5000, 0.2841)
Zn (0.5000, 0.5000, 0.7159)
Zn (0.5000, 0.5000, 0.9061)